# MnSbPt
Computed powder XRD pattern, Cu Kα, 1.54184 Å. Input: the PBE geometry in the Materials Project.
Intensities are scaled so that the largest is 1000.

Structural model:
```
MnSbPt
1.0
0.0000 3.1163 3.1163
3.1163 0.0000 3.1163
3.1163 3.1163 0.0000
Mn Sb Pt
1 1 1
direct
0.0000 0.0000 0.0000
0.5000 0.5000 0.5000
0.7500 0.7500 0.7500
```

The 8 most intense peaks (2θ = 10–90°), sorted by position:
| 2θ/deg | d/Å | Rel. int. |
| --- | --- | --- |
| 24.7 | 3.598 | 749 |
| 41.0 | 2.204 | 1000 |
| 48.4 | 1.879 | 378 |
| 59.3 | 1.558 | 166 |
| 65.3 | 1.430 | 157 |
| 74.6 | 1.272 | 335 |
| 80.0 | 1.199 | 120 |
| 88.8 | 1.102 | 111 |